For Ca2AcIO8, DFT lattice parameters and positions (PBE) gives the simulated powder XRD pattern in this record (Cu Kα (λ = 1.5418 Å)).
Peak positions follow from Bragg's law for the DFT cell and can differ from measured ones.

Main lines, in order of rising 2θ (2θ from 10° to 90°):
2theta, Rel. int.
17.55, 78
18.59, 56
25.17, 78
26.17, 81
29.91, 100
30.55, 62
35.07, 38
46.96, 43

Atomic structure:
```
data_Ca2AcIO8
_space_group_name_H-M_alt 'P -1'
_space_group_IT_number 2
_space_group_name_Hall '-P 1'
_cell_length_a 4.776
_cell_length_b 5.058
_cell_length_c 7.409
_cell_angle_alpha 90.12
_cell_angle_beta 90.03
_cell_angle_gamma 92.18
loop_
_atom_site_label
_atom_site_type_symbol
_atom_site_fract_x
_atom_site_fract_y
_atom_site_fract_z
Ca1 Ca 0.001 0.001 0.271
Ac1 Ac 0.500 0.500 0.000
I1 I 0.500 0.500 0.500
O1 O 0.024 0.241 0.000
O2 O 0.170 0.286 0.501
O3 O 0.370 0.716 0.309
O4 O 0.373 0.718 0.691
```

***

For Dy4GaPd3, DFT lattice parameters and positions (PBE) gives the simulated powder XRD pattern in this record (Cu Kα (λ = 1.5418 Å)).
Peak positions follow from Bragg's law for the DFT cell and can differ from measured ones.

Main lines, in order of rising 2θ (2θ from 10° to 90°):
2theta, Rel. int.
32.13, 100
33.28, 29
34.56, 28
38.99, 21
40.10, 88
48.46, 18
53.06, 23
53.94, 16

Atomic structure:
```
data_Dy4GaPd3
_space_group_name_H-M_alt 'P m m 2'
_space_group_IT_number 25
_space_group_name_Hall 'P 2 -2'
_cell_length_a 3.757
_cell_length_b 4.499
_cell_length_c 10.768
_cell_angle_alpha 90.00
_cell_angle_beta 90.00
_cell_angle_gamma 90.00
loop_
_atom_site_label
_atom_site_type_symbol
_atom_site_fract_x
_atom_site_fract_y
_atom_site_fract_z
Dy1 Dy 0.000 0.000 0.000
Dy2 Dy 0.000 0.500 0.271
Dy3 Dy 0.500 0.000 0.488
Dy4 Dy 0.500 0.500 0.776
Ga1 Ga 0.000 0.000 0.713
Pd1 Pd 0.000 0.500 0.555
Pd2 Pd 0.500 0.000 0.220
Pd3 Pd 0.500 0.500 0.050
```

***

For CeMg2, DFT lattice parameters and positions (PBE) gives the simulated powder XRD pattern in this record (Cu Kα (λ = 1.5418 Å)).
Peak positions follow from Bragg's law for the DFT cell and can differ from measured ones.

Main lines, in order of rising 2θ (2θ from 10° to 90°):
2theta, Rel. int.
10.49, 89
15.65, 86
18.87, 49
31.59, 45
32.47, 41
35.65, 46
36.23, 100
45.93, 43

Atomic structure:
```
data_CeMg2
_space_group_name_H-M_alt 'A m m 2'
_space_group_IT_number 38
_space_group_name_Hall 'A 2 -2'
_cell_length_a 5.664
_cell_length_b 3.164
_cell_length_c 16.871
_cell_angle_alpha 90.00
_cell_angle_beta 90.00
_cell_angle_gamma 90.00
loop_
_atom_site_label
_atom_site_type_symbol
_atom_site_fract_x
_atom_site_fract_y
_atom_site_fract_z
Ce1 Ce 0.000 0.000 0.000
Ce2 Ce 0.000 0.000 0.358
Mg1 Mg 0.000 0.000 0.680
Mg2 Mg 0.500 0.000 0.124
Mg3 Mg 0.500 0.000 0.455
Mg4 Mg 0.500 0.000 0.790
```